# 1
The following is a simulated powder diffractogram of LaTiSi2. It was derived from DFT lattice parameters and positions (PBE), using Cu Kα (weighted mean of Kα1 and Kα2).
Neutral-atom scattering factors, no anomalous dispersion.

Structure:
```
8
Lattice="-2.415 2.415 8.475 2.415 -2.415 8.475 2.415 2.415 -8.475" Properties=species:S:1:pos:R:3 pbc="T T T"
La 0.000 0.000 0.000
La 0.000 2.415 4.237
Ti 2.415 0.000 4.237
Ti 0.000 0.000 8.475
Si 1.208 -0.258 6.356
Si 2.158 1.208 2.119
Si 1.208 2.673 -2.119
Si 0.258 1.208 10.593
```

Main lines, in order of rising 2θ (2θ = 10–90°):
Position (°2θ)  d (Å)  Rel. int.
20.97  4.237  23
24.24  3.671  34
28.17  3.168  100
32.26  2.775  16
37.23  2.415  22
41.48  2.177  34
42.17  2.143  16
43.11  2.098  32
58.25  1.584  19
61.71  1.503  20

# 2
The following is a simulated powder diffractogram of LaTm2Si4. It was derived from DFT lattice parameters and positions (PBE), using Cu Kα (weighted mean of Kα1 and Kα2).
Neutral-atom scattering factors, no anomalous dispersion.

Structure:
```
7
Lattice="-1.945 2.162 8.732 1.945 -2.162 8.732 1.945 2.162 -8.732" Properties=species:S:1:pos:R:3 pbc="T T T"
La 0.000 0.000 0.000
Tm 1.945 0.000 3.204
Tm 0.000 2.162 5.528
Si 1.945 0.000 6.076
Si 0.000 0.000 7.536
Si 0.000 0.000 9.929
Si 0.000 2.162 2.656
```

Main lines, in order of rising 2θ (2θ = 10–90°):
Position (°2θ)  d (Å)  Rel. int.
21.17  4.198  28
27.58  3.234  64
30.72  2.911  28
32.62  2.745  100
32.96  2.717  58
41.78  2.162  25
50.79  1.798  25
52.52  1.742  24
52.73  1.736  21
58.35  1.582  23

# 3
The following is a simulated powder diffractogram of La5TmSi4. It was derived from DFT lattice parameters and positions (PBE), using Cu Kα (weighted mean of Kα1 and Kα2).
Neutral-atom scattering factors, no anomalous dispersion.

Structure:
```
10
Lattice="7.953 -2.553 0.000 7.953 2.553 0.000 -0.232 0.000 6.990" Properties=species:S:1:pos:R:3 pbc="T T T"
La 0.000 0.000 0.000
La 5.160 0.000 3.413
La 5.146 0.000 6.950
La 10.528 0.000 0.039
La 10.514 0.000 3.577
Tm -0.116 0.000 3.495
Si 2.557 0.000 5.251
Si 7.670 0.000 5.073
Si 8.005 0.000 1.917
Si 13.117 0.000 1.739
```

Main lines, in order of rising 2θ (2θ = 10–90°):
Position (°2θ)  d (Å)  Rel. int.
24.20  3.677  100
25.49  3.495  44
33.83  2.650  36
35.01  2.563  66
35.15  2.553  33
35.85  2.505  62
43.92  2.062  21
49.58  1.839  24
60.73  1.525  14
62.98  1.476  12

# 4
The following is a simulated powder diffractogram of LaY2Si2. It was derived from DFT lattice parameters and positions (PBE), using Cu Kα (weighted mean of Kα1 and Kα2).
Neutral-atom scattering factors, no anomalous dispersion.

Structure:
```
5
Lattice="-2.265 2.265 6.256 2.265 -2.265 6.256 2.265 2.265 -6.256" Properties=species:S:1:pos:R:3 pbc="T T T"
La 0.000 0.000 0.000
Y 2.265 0.000 3.128
Y 0.000 2.265 3.128
Si 0.000 0.000 5.053
Si 0.000 0.000 7.460
```

Main lines, in order of rising 2θ (2θ = 10–90°):
Position (°2θ)  d (Å)  Rel. int.
20.85  4.260  18
28.53  3.128  21
29.10  3.069  24
31.37  2.852  100
39.79  2.265  32
41.21  2.191  15
49.69  1.835  18
52.35  1.748  14
58.62  1.575  11
67.01  1.397  22

# 5
The following is a simulated powder diffractogram of La3Y3Si4. It was derived from DFT lattice parameters and positions (PBE), using Cu Kα (weighted mean of Kα1 and Kα2).
Neutral-atom scattering factors, no anomalous dispersion.

Structure:
```
10
Lattice="4.225 0.000 0.000 0.000 5.324 5.643 0.000 -5.324 5.643" Properties=species:S:1:pos:R:3 pbc="T T T"
La 0.000 0.000 0.000
La 2.113 -2.859 6.555
La 2.113 2.859 6.555
Y 0.000 -1.874 3.828
Y 0.000 1.874 3.828
Y 0.000 0.000 7.357
Si 2.113 0.000 2.715
Si 2.113 0.000 5.160
Si 2.113 -1.217 9.240
Si 2.113 1.217 9.240
```

Main lines, in order of rising 2θ (2θ = 10–90°):
Position (°2θ)  d (Å)  Rel. int.
25.10  3.547  18
26.34  3.384  33
26.94  3.310  27
31.33  2.855  100
32.97  2.717  45
33.93  2.642  44
36.02  2.493  31
37.35  2.408  25
42.81  2.113  24
53.31  1.718  17

# 6
The following is a simulated powder diffractogram of La2Zn5Si3. It was derived from DFT lattice parameters and positions (PBE), using Cu Kα (weighted mean of Kα1 and Kα2).
Neutral-atom scattering factors, no anomalous dispersion.

Structure:
```
10
Lattice="4.401 0.000 0.000 0.000 4.401 0.000 0.000 0.000 9.908" Properties=species:S:1:pos:R:3 pbc="T T T"
La 0.000 2.200 2.383
La 2.200 0.000 7.525
Zn 0.000 0.000 4.954
Zn 0.000 2.200 6.270
Zn 2.200 0.000 3.637
Zn 2.200 2.200 0.000
Zn 2.200 2.200 4.954
Si 0.000 0.000 0.000
Si 0.000 2.200 8.716
Si 2.200 0.000 1.192
```

Main lines, in order of rising 2θ (2θ = 10–90°):
Position (°2θ)  d (Å)  Rel. int.
22.10  4.022  12
28.69  3.112  10
33.99  2.637  100
41.02  2.200  35
50.51  1.807  13
54.26  1.691  19
59.40  1.556  11
63.81  1.459  8
67.02  1.396  11
70.24  1.340  19

# 7
The following is a simulated powder diffractogram of La2Zr2Si. It was derived from DFT lattice parameters and positions (PBE), using Cu Kα (weighted mean of Kα1 and Kα2).
Neutral-atom scattering factors, no anomalous dispersion.

Structure:
```
10
Lattice="7.282 0.000 0.000 0.000 7.282 0.000 0.000 0.000 4.941" Properties=species:S:1:pos:R:3 pbc="T T T"
La 1.255 2.386 0.000
La 2.386 6.028 0.000
La 4.896 1.255 0.000
La 6.028 4.896 0.000
Zr 1.077 4.718 2.471
Zr 2.565 1.077 2.471
Zr 4.718 6.206 2.471
Zr 6.206 2.565 2.471
Si 0.000 0.000 2.471
Si 3.641 3.641 2.471
```

Main lines, in order of rising 2θ (2θ = 10–90°):
Position (°2θ)  d (Å)  Rel. int.
17.22  5.149  10
24.45  3.641  14
32.94  2.719  100
36.37  2.471  19
39.12  2.303  18
54.47  1.685  13
55.23  1.663  18
63.27  1.470  15
66.31  1.410  9
72.46  1.304  10

# 8
The following is a simulated powder diffractogram of LaSm. It was derived from DFT lattice parameters and positions (PBE), using Cu Kα (weighted mean of Kα1 and Kα2).
Neutral-atom scattering factors, no anomalous dispersion.

Structure:
```
4
Lattice="1.841 1.063 12.065 -1.841 1.063 12.065 0.000 -2.126 12.065" Properties=species:S:1:pos:R:3 pbc="T T T"
La 0.000 0.000 4.494
La 0.000 0.000 31.701
Sm 0.000 0.000 13.523
Sm 0.000 0.000 22.672
```

Main lines, in order of rising 2θ (2θ = 10–90°):
Position (°2θ)  d (Å)  Rel. int.
29.68  3.010  100
34.41  2.607  51
49.39  1.845  18
49.51  1.841  18
58.65  1.574  11
58.77  1.571  32
61.68  1.504  9
80.37  1.195  9
82.72  1.167  8
82.89  1.165  8